For Sm2Fe2S2O5, the PBE+U geometry in Alexandria gives the computed X-ray powder pattern in this record (λ = 1.5418 Å (Cu Kα)).

Peak list (10 most intense, 15 to 90 degrees two-theta, by angle)
index  two_theta  I (rel.)
1 1 -2  25.21  100
0 2 0  32.22  54
1 1 3  34.57  80
1 1 -5  40.68  16
2 2 -1  46.20  32
2 2 1  48.73  11
2 0 4  50.00  22
3 1 -3  53.36  25
3 1 2  58.97  33
0 4 0  67.41  10

Cell lengths 5.557, 5.557, 12.401 Å; angles 90.00, 102.85, 90.00 degrees
Space group C2/m (No. 12)
Symmetry-distinct sites (fractional):
1 Sm 0.152 0.000 0.306
2 Fe 0.075 0.500 0.150
3 S 0.234 0.500 0.468
4 O 0.000 0.500 0.000
5 O 0.145 0.250 0.790